1.
Starting from a crystal structure in the Materials Project, relaxed with GGA+U, the powder X-ray diffraction pattern of MnSeO4 was calculated for Cu Ka.
Peak positions follow from Bragg's law for the DFT cell and can differ from measured ones.

Crystal structure
```
MnSeO4
1.0
12.7768 0.0000 0.0000
0.0000 5.8173 0.0000
0.0000 0.0000 4.9207
Mn Se O
4 4 16
Cartesian
2.9155 1.4543 0.5265 Mn
3.4729 4.3630 2.9869 Mn
9.3038 1.4543 1.9338 Mn
9.8613 4.3630 4.3942 Mn
1.3126 4.3630 0.2722 Se
5.0757 1.4543 2.7326 Se
7.7010 4.3630 2.1881 Se
11.4641 1.4543 4.6485 Se
1.5332 1.4543 1.5907 O
1.7931 4.3630 1.8969 O
2.2597 3.1034 4.4066 O
2.2597 5.6226 4.4066 O
4.1287 0.1948 1.9462 O
4.1287 2.7139 1.9462 O
4.5953 1.4543 4.3573 O
4.8552 4.3630 4.0510 O
7.9216 1.4543 0.8697 O
8.1815 4.3630 0.5634 O
8.6480 3.1034 2.9745 O
8.6480 5.6226 2.9745 O
10.5171 0.1948 0.5141 O
10.5171 2.7139 0.5141 O
10.9837 1.4543 3.0238 O
11.2436 4.3630 3.3300 O
```

The 10 most intense peaks (2θ from 5° to 70°), sorted by position:
2θ (°), I (rel.)
13.9, 54
19.3, 61
20.7, 56
22.8, 21
27.5, 21
30.7, 44
31.8, 100
38.6, 27
49.0, 21
55.3, 21


2.
Starting from a crystal structure in the Materials Project, relaxed with GGA+U, the powder X-ray diffraction pattern of Ca3CoSe4O12 was calculated for Cu Ka.
Peak positions follow from Bragg's law for the DFT cell and can differ from measured ones.

Crystal structure
```
Ca3CoSe4O12
1.0
-3.8521 3.8521 11.4138
3.8521 -3.8521 11.4138
3.8521 3.8521 -11.4138
Ca Co Se O
6 2 8 24
Cartesian
3.8521 -1.9261 10.2405 Ca
0.0000 1.9261 2.8535 Ca
3.8521 1.9261 4.5336 Ca
0.0000 1.9261 6.8802 Ca
3.8521 1.9261 8.5604 Ca
0.0000 5.7782 1.1733 Ca
3.8521 1.9261 -2.8535 Co
0.0000 1.9261 14.2673 Co
1.3804 -0.6242 4.3747 Se
5.1540 0.5457 1.3322 Se
5.2325 -0.6242 7.0392 Se
2.5502 3.3064 1.3322 Se
1.3019 0.5457 10.0816 Se
-1.3804 4.4763 4.3747 Se
-1.3019 3.3064 10.0816 Se
2.4718 4.4763 7.0392 Se
0.6131 -0.4124 2.8555 O
2.4008 1.1627 -1.7234 O
3.0887 -0.4748 3.9835 O
6.7167 0.8052 0.6844 O
3.0887 3.3774 -3.9835 O
1.4513 -1.1627 9.6904 O
5.3658 1.3130 2.8514 O
4.4652 -0.4124 8.5584 O
1.1208 0.9385 5.0225 O
4.9730 0.9385 6.3913 O
0.9875 3.0469 0.6844 O
2.3384 2.5392 2.8514 O
1.5137 1.3130 8.5624 O
2.8646 0.8052 10.7294 O
-1.1208 2.9136 5.0225 O
2.7313 2.9136 6.3913 O
-0.6131 4.2645 2.8555 O
-1.5137 2.5392 8.5624 O
2.4008 5.0148 1.7234 O
0.7634 0.4748 15.3973 O
-2.8646 3.0469 10.7294 O
0.7634 4.3269 7.4304 O
1.4513 2.6895 13.1373 O
3.2390 4.2645 8.5584 O
```

The 10 most intense peaks (2θ from 5° to 70°), sorted by position:
2θ (°), I (rel.)
22.6, 100
26.2, 39
28.4, 22
28.6, 18
32.9, 12
36.9, 17
37.8, 11
40.3, 18
44.3, 11
56.1, 12


3.
Starting from a crystal structure in the Materials Project, relaxed with GGA+U, the powder X-ray diffraction pattern of LiMn2O4 was calculated for Cu Ka.
Peak positions follow from Bragg's law for the DFT cell and can differ from measured ones.

Crystal structure
```
LiMn2O4
1.0
4.0754 -4.1550 0.0000
4.0754 4.1550 0.0000
-3.9087 0.0000 4.4231
Li Mn O
2 4 8
Cartesian
2.0377 2.0775 0.0000 Li
0.0834 -2.0775 2.2116 Li
0.0000 0.0000 0.0000 Mn
-1.9543 0.0000 2.2116 Mn
0.0834 2.0775 2.2116 Mn
2.0377 -2.0775 0.0000 Mn
-0.0202 0.0907 1.9529 O
2.0167 2.2375 2.1430 O
-1.9746 -0.0907 4.1645 O
4.1798 2.2375 0.0686 O
0.0623 -2.2375 4.3546 O
6.2167 0.0907 0.2587 O
2.2255 -2.2375 2.2801 O
4.2624 -0.0907 2.4702 O
```

The 10 most intense peaks (2θ from 5° to 70°), sorted by position:
2θ (°), I (rel.)
18.0, 100
18.5, 57
33.7, 15
35.9, 14
36.6, 11
40.8, 35
43.6, 30
44.5, 28
61.2, 17
64.0, 15


4.
Starting from a crystal structure in the Materials Project, relaxed with GGA+U, the powder X-ray diffraction pattern of Li9Mn2Co5O16 was calculated for Cu Ka.
Peak positions follow from Bragg's law for the DFT cell and can differ from measured ones.

Crystal structure
```
Li9Mn2Co5O16
1.0
9.7876 -1.4728 0.0000
9.7876 1.4728 0.0000
-0.5562 0.0000 10.1015
Li Mn Co O
9 2 5 16
Cartesian
0.0000 0.0000 0.0000 Li
1.8952 0.0000 6.8482 Li
2.2195 0.0000 1.9499 Li
7.0970 0.0000 5.6440 Li
7.5837 0.0000 0.6398 Li
11.4354 0.0000 9.4617 Li
11.9220 0.0000 4.4575 Li
16.7995 0.0000 8.1515 Li
17.1238 0.0000 3.2533 Li
4.4035 0.0000 8.8228 Mn
14.6155 0.0000 1.2786 Mn
-0.2781 0.0000 5.0507 Co
4.7174 0.0000 3.8440 Co
9.3474 0.0000 7.7039 Co
9.6716 0.0000 2.3976 Co
14.3016 0.0000 6.2574 Co
0.9096 0.0000 3.5434 O
0.7007 0.0000 8.4464 O
3.4193 0.0000 5.3912 O
3.8494 0.0000 0.3764 O
5.8526 0.0000 2.0309 O
5.5572 0.0000 7.3302 O
8.1106 0.0000 9.0051 O
8.4738 0.0000 4.0829 O
10.5452 0.0000 6.0186 O
10.9084 0.0000 1.0964 O
13.4619 0.0000 2.7713 O
13.1664 0.0000 8.0706 O
15.1696 0.0000 9.7251 O
15.5998 0.0000 4.7102 O
18.3183 0.0000 1.6551 O
18.1094 0.0000 6.5580 O
```

The 10 most intense peaks (2θ from 5° to 70°), sorted by position:
2θ (°), I (rel.)
8.8, 9
18.2, 100
35.7, 27
36.2, 12
42.9, 56
44.2, 25
56.5, 10
63.0, 14
63.6, 14
66.2, 9


5.
Starting from a crystal structure in the Materials Project, relaxed with GGA+U, the powder X-ray diffraction pattern of Na5VO5 was calculated for Cu Ka.
Peak positions follow from Bragg's law for the DFT cell and can differ from measured ones.

Crystal structure
```
Na5VO5
1.0
5.8594 0.0000 0.0000
0.0000 16.2954 0.0000
0.0000 0.0000 6.6741
Na V O
20 4 20
Cartesian
5.8593 3.7645 1.6685 Na
5.8593 4.3832 5.0055 Na
0.0001 11.9123 1.6685 Na
0.0001 12.5309 5.0055 Na
1.2305 1.3487 0.0930 Na
1.2305 1.3487 3.2440 Na
1.2305 6.7990 3.4301 Na
1.2305 6.7990 6.5810 Na
1.9622 9.5257 1.6685 Na
1.9622 14.9175 5.0055 Na
2.8637 12.2216 0.0000 Na
2.8637 12.2216 3.3370 Na
2.9957 4.0739 0.0000 Na
2.9957 4.0739 3.3370 Na
3.8971 1.3780 1.6685 Na
3.8971 6.7697 5.0055 Na
4.6288 9.4964 0.0930 Na
4.6288 9.4964 3.2440 Na
4.6288 14.9467 3.4301 Na
4.6288 14.9467 6.5810 Na
1.3050 9.6700 5.0055 V
1.3050 14.7732 1.6685 V
4.5544 1.5223 5.0055 V
4.5544 6.6254 1.6685 V
0.1746 8.3409 5.0055 O
0.1746 16.1022 1.6685 O
0.9620 10.6498 3.5925 O
0.9620 10.6498 6.4186 O
0.9620 13.7933 0.2554 O
0.9620 13.7933 3.0816 O
2.0530 2.8183 1.6685 O
2.0530 5.3295 5.0055 O
2.9161 0.9086 5.0055 O
2.9161 7.2392 1.6685 O
2.9433 9.0563 5.0055 O
2.9433 15.3869 1.6685 O
3.8064 10.9660 1.6685 O
3.8064 13.4772 5.0055 O
4.8974 2.5021 3.5925 O
4.8974 2.5021 6.4186 O
4.8974 5.6456 0.2554 O
4.8974 5.6456 3.0816 O
5.6848 0.1932 5.0055 O
5.6848 7.9545 1.6685 O
```

The 10 most intense peaks (2θ from 5° to 70°), sorted by position:
2θ (°), I (rel.)
16.1, 25
20.9, 51
25.6, 28
33.0, 28
35.1, 100
37.8, 58
38.1, 39
41.7, 29
50.3, 22
55.1, 37


6.
Starting from a crystal structure in the Materials Project, relaxed with GGA+U, the powder X-ray diffraction pattern of SrV3O7 was calculated for Cu Ka.
Peak positions follow from Bragg's law for the DFT cell and can differ from measured ones.

Crystal structure
```
SrV3O7
1.0
5.3693 0.0000 0.0000
0.0000 10.6144 0.0000
0.0000 0.0000 5.6660
Sr V O
2 6 14
Cartesian
1.3423 2.6536 0.8245 Sr
4.0270 7.9608 4.8415 Sr
1.3423 0.2114 3.4916 V
1.3423 5.0958 3.4916 V
1.3423 7.9608 2.3970 V
4.0270 2.6536 3.2690 V
4.0270 5.5186 2.1744 V
4.0270 10.4030 2.1744 V
0.0704 6.5777 3.1052 O
0.0704 9.3439 3.1052 O
1.3423 0.6369 5.0929 O
1.3423 4.6703 5.0929 O
1.3423 7.9608 0.7368 O
2.6143 6.5777 3.1052 O
2.6143 9.3439 3.1052 O
2.7551 1.2705 2.5608 O
2.7551 4.0367 2.5608 O
4.0270 2.6536 4.9292 O
4.0270 5.9441 0.5731 O
4.0270 9.9776 0.5731 O
5.2989 1.2705 2.5608 O
5.2989 4.0367 2.5608 O
```

The 10 most intense peaks (2θ from 5° to 70°), sorted by position:
2θ (°), I (rel.)
15.6, 30
23.0, 15
24.3, 36
28.4, 100
33.4, 23
33.8, 14
35.8, 13
40.8, 14
48.2, 30
54.3, 17


7.
Starting from a crystal structure in the Materials Project, relaxed with GGA+U, the powder X-ray diffraction pattern of Li5Fe2P2C2O14 was calculated for Cu Ka.
Peak positions follow from Bragg's law for the DFT cell and can differ from measured ones.

Crystal structure
```
Li5Fe2P2C2O14
1.0
5.1106 0.0000 0.0000
-0.4576 6.4413 0.0000
-0.7204 -0.7678 8.4050
Li Fe P C O
5 2 2 2 14
Cartesian
0.0000 0.0000 0.0000 Li
-0.4841 3.9665 5.4670 Li
2.0358 5.4269 4.1459 Li
2.6206 2.3442 4.3305 Li
3.6122 2.1642 8.3148 Li
0.0137 0.9156 3.4002 Fe
1.9457 4.4189 0.7752 Fe
2.5442 1.1680 1.4125 P
4.4676 4.1687 2.7753 P
2.0721 3.9660 6.6835 C
4.4988 0.7589 5.8408 C
-0.5381 2.9120 3.7213 O
0.0453 3.9009 1.4366 O
0.0596 5.3254 3.5870 O
0.5914 0.9987 5.4112 O
0.8111 3.8596 6.8903 O
1.8435 -0.0011 0.7142 O
1.8379 1.4039 2.8047 O
2.5370 2.4288 0.5472 O
2.5842 3.9837 5.4807 O
2.9751 4.5276 2.6129 O
2.8758 4.0183 7.7148 O
3.6072 0.5824 4.8525 O
4.0622 0.8095 1.7093 O
4.1619 0.7111 7.0556 O
```

The 10 most intense peaks (2θ from 5° to 70°), sorted by position:
2θ (°), I (rel.)
10.5, 100
16.6, 17
19.6, 28
21.3, 43
26.3, 29
27.8, 69
28.8, 16
33.5, 16
36.0, 18
42.6, 15


8.
Starting from a crystal structure in the Materials Project, relaxed with GGA+U, the powder X-ray diffraction pattern of MgV4O5F7 was calculated for Cu Ka.
Peak positions follow from Bragg's law for the DFT cell and can differ from measured ones.

Crystal structure
```
MgV4O5F7
1.0
5.1282 0.0000 0.0000
0.2503 5.4298 0.0000
0.0387 0.3615 7.7432
Mg V O F
1 4 5 7
Cartesian
0.0000 0.0000 0.0000 Mg
0.3242 2.4235 5.5293 V
2.6536 5.0041 1.9488 V
2.7389 5.1273 5.5166 V
5.1761 2.3138 1.7272 V
1.0181 0.7374 6.0660 O
1.3338 1.0186 1.2534 O
1.6036 3.4896 5.8665 O
2.2729 5.0491 3.5687 O
3.8670 3.4250 1.9492 O
0.6944 2.2730 3.5723 F
1.1887 3.8970 1.0725 F
3.5583 5.2054 7.4557 F
3.7229 1.2715 5.1860 F
4.0506 0.6386 1.9308 F
4.2328 3.9125 5.0503 F
4.6885 2.3977 7.4677 F
```

The 10 most intense peaks (2θ from 5° to 70°), sorted by position:
2θ (°), I (rel.)
23.0, 94
23.3, 100
24.4, 94
32.4, 22
33.0, 21
33.3, 24
39.1, 25
46.9, 25
47.7, 25
52.9, 26


9.
Starting from a crystal structure in the Materials Project, relaxed with GGA+U, the powder X-ray diffraction pattern of Li2V3SnO8 was calculated for Cu Ka.
Peak positions follow from Bragg's law for the DFT cell and can differ from measured ones.

Crystal structure
```
Li2V3SnO8
1.0
3.0179 1.7424 5.0855
-3.0179 1.7424 5.0855
0.0000 -3.4848 5.0855
Li V Sn O
2 3 1 8
Cartesian
0.0000 0.0000 1.8791 Li
0.0000 0.0000 13.3774 Li
-1.5089 -0.8712 5.0855 V
-1.5089 0.8712 10.1710 V
0.0000 1.7424 5.0855 V
0.0000 0.0000 7.6282 Sn
0.0000 -1.6017 6.2691 O
-1.3871 0.8008 6.2691 O
0.0000 0.0000 4.1034 O
-1.3871 -0.8008 8.9874 O
1.3871 0.8008 6.2691 O
0.0000 0.0000 11.1531 O
1.3871 -0.8008 8.9874 O
0.0000 1.6017 8.9874 O
```

The 10 most intense peaks (2θ from 5° to 70°), sorted by position:
2θ (°), I (rel.)
17.9, 100
20.6, 10
34.0, 21
34.6, 35
36.3, 11
41.9, 51
46.3, 11
55.4, 13
60.1, 16
61.4, 16